Diffraction record for Ca2MnO4. The PXRD pattern is theoretical, not measured: it uses DFT lattice parameters and positions (PBE+U) and Cu Kα.

Top 10 peaks for 10° ≤ 2θ ≤ 90°, in order of rising 2θ:
d 6.102, rel. 49
d 2.742, rel. 100
d 2.626, rel. 96
d 2.040, rel. 18
d 2.034, rel. 34
d 1.857, rel. 54
d 1.608, rel. 28
d 1.537, rel. 39
d 1.372, rel. 38
d 1.174, rel. 14

Crystal structure
```
28
Lattice="-2.6256 2.6256 12.2032 2.6256 -2.6256 12.2032 2.6256 2.6256 -12.2032" Properties=species:S:1:pos:R:3 pbc="T T T"
Ca 2.6256 1.3128 -4.8695
Ca 2.6256 1.3128 -1.2321
Ca 0.0000 1.3128 1.2321
Ca 0.0000 1.3128 4.8695
Ca 2.6256 1.3128 7.3337
Ca 2.6256 1.3128 10.9710
Ca 0.0000 1.3128 13.4353
Ca 0.0000 1.3128 17.0726
Mn 2.6256 -1.3128 9.1524
Mn 2.6256 1.3128 3.0508
Mn 0.0000 1.3128 9.1524
Mn 0.0000 3.9384 3.0508
O 2.6256 -1.3128 7.1804
O 3.6865 -0.2519 3.0508
O 1.0609 0.2519 3.0508
O 2.6256 -1.3128 11.1244
O 2.6256 1.3128 1.0788
O 1.0609 -0.2519 9.1524
O 1.0609 2.8774 -3.0508
O 2.6256 1.3128 5.0228
O 0.0000 1.3128 7.1804
O 1.5646 -0.2519 15.2540
O 1.5647 2.8774 3.0508
O 0.0000 1.3128 11.1244
O 0.0000 3.9384 1.0788
O 1.5647 2.3737 9.1524
O -1.0609 2.8774 9.1524
O 0.0000 3.9384 5.0228
```

Diffraction record for Li2Mn5O12. The PXRD pattern is theoretical, not measured: it uses DFT lattice parameters and positions (PBE+U) and Cu Kα.

Top 10 peaks for 10° ≤ 2θ ≤ 90°, in order of rising 2θ:
d 5.670, rel. 11
d 4.760, rel. 100
d 2.487, rel. 41
d 2.065, rel. 18
d 2.060, rel. 37
d 1.892, rel. 8
d 1.586, rel. 13
d 1.459, rel. 20
d 1.457, rel. 10
d 1.190, rel. 8

Crystal structure
```
38
Lattice="4.1203 -4.1190 0.0000 4.1203 4.1190 0.0000 -4.1030 0.0000 12.3928" Properties=species:S:1:pos:R:3 pbc="T T T"
Li 2.0687 3.0742 6.1964
Li 4.1303 1.0765 4.0438
Li 2.0788 -1.0765 10.2402
Li 4.1203 -3.0742 0.0000
Mn 3.0999 4.0970 3.0189
Mn 1.0514 2.0476 3.0238
Mn -1.0056 0.0383 11.3522
Mn 1.0207 2.0621 11.3485
Mn 1.0459 -0.0383 5.1558
Mn -1.0001 -2.0476 9.2202
Mn 5.1516 -0.0003 0.9961
Mn 3.1001 0.0003 7.1924
Mn 3.0723 -2.0621 5.1521
Mn 1.0484 -4.0970 9.2153
O 0.9210 1.9419 5.0077
O -0.9102 0.1095 5.0508
O -2.9618 -0.1095 11.2472
O -0.8412 1.8858 11.2160
O 2.9150 2.2424 3.1586
O 0.9080 0.1254 3.1537
O -1.1435 -0.1254 9.3500
O 1.1805 2.1949 9.4043
O 1.2058 0.0245 6.9997
O 3.2573 -0.0245 0.8033
O 5.1721 1.8913 0.8145
O 3.0502 1.8953 7.3619
O -1.1305 -1.9419 11.2041
O 0.9577 0.0895 11.4217
O 1.2103 -1.8858 5.0196
O 3.0092 -0.0895 5.2253
O 3.1964 0.0914 9.1404
O 0.8635 -2.2424 9.3550
O 5.2479 -0.0914 2.9440
O 3.2321 -2.1949 3.2079
O 3.1206 -1.8913 7.0109
O 5.1018 -1.8953 1.1656
O 7.0531 0.0592 1.1703
O 5.0016 -0.0592 7.3666
```